For KTb2SmSe4, a structure optimized by DFT (GGA-PBE) gives the theoretical powder XRD pattern in this record (Cu Kα).

Main lines, in order of rising 2θ (2θ from 5° to 70°):
two_theta  d_spacing  I/Imax  index
12.70  6.971  14  0 0 1
29.98  2.980  100  2 0 -2
42.09  2.147  13  2 0 2
42.84  2.111  24  1 1 -3
42.99  2.104  25  3 1 -1
53.92  1.700  13  2 2 -2

```
data_KTb2SmSe4
_cell_length_a 7.3283
_cell_length_b 4.1415
_cell_length_c 7.3620
_cell_angle_alpha 90.00
_cell_angle_beta 108.46
_cell_angle_gamma 90.00
_space_group_name_H-M_alt 'P 1 2/m 1'
_space_group_IT_number 10
loop_
_space_group_symop_operation_xyz
'x,y,z'
'-x,-y,-z'
'-x,y,-z'
'x,-y,z'
loop_
_atom_site_label
_atom_site_fract_x
_atom_site_fract_y
_atom_site_fract_z
K1 0.0000 0.0000 0.0000
Tb1 0.0000 0.5000 0.5000
Tb2 0.5000 0.0000 0.5000
Sm1 0.5000 0.5000 0.0000
Se1 0.2522 0.0000 0.7384
Se2 0.2656 0.5000 0.2703
```

***

For Er4CoPd3, a structure optimized by DFT (GGA-PBE) gives the theoretical powder XRD pattern in this record (Cu Kα).

Main lines, in order of rising 2θ (2θ from 5° to 70°):
two_theta  d_spacing  I/Imax  index
36.91  2.435  100  1 0 4
37.34  2.408  50  1 1 0
52.54  1.742  8  0 0 8
53.84  1.703  17  2 0 0
66.22  1.411  17  1 1 8
67.07  1.396  34  2 1 4

```
data_Er4CoPd3
_cell_length_a 3.4056
_cell_length_b 3.4056
_cell_length_c 13.9351
_cell_angle_alpha 90.00
_cell_angle_beta 90.00
_cell_angle_gamma 90.00
_space_group_name_H-M_alt 'P 4/m m m'
_space_group_IT_number 123
_space_group_name_Hall '-P 4 2'
loop_
_atom_site_label
_atom_site_fract_x
_atom_site_fract_y
_atom_site_fract_z
Er1 0.0000 0.0000 0.1147
Er2 0.0000 0.0000 0.3714
Co1 0.5000 0.5000 0.0000
Pd1 0.5000 0.5000 0.2452
Pd2 0.5000 0.5000 0.5000
```

***

For Y3ErNi, a structure optimized by DFT (GGA-PBE) gives the theoretical powder XRD pattern in this record (Cu Kα).

Main lines, in order of rising 2θ (2θ from 5° to 70°):
two_theta  d_spacing  I/Imax  index
7.08  12.489  49  0 0 1
31.32  2.856  100  1 1 2
32.12  2.787  40  2 0 3
32.40  2.764  66  2 0 -5
33.40  2.683  67  3 1 -1
35.03  2.562  54  3 1 -3

```
data_Y3ErNi
_cell_length_a 12.1143
_cell_length_b 3.6269
_cell_length_c 13.8240
_cell_angle_alpha 90.00
_cell_angle_beta 115.39
_cell_angle_gamma 90.00
_space_group_name_H-M_alt 'C 1 m 1'
_space_group_IT_number 8
loop_
_space_group_symop_operation_xyz
'x,y,z'
'x,-y,z'
'x+1/2,y+1/2,z'
'x+1/2,-y+1/2,z'
loop_
_atom_site_label
_atom_site_fract_x
_atom_site_fract_y
_atom_site_fract_z
Y1 0.0000 0.0000 0.0000
Y2 0.0436 0.0000 0.5965
Y3 0.2132 0.0000 0.8730
Y4 0.2786 0.5000 0.1164
Y5 0.3497 0.0000 0.3567
Y6 0.4226 0.0000 0.7552
Er1 0.0629 0.5000 0.2418
Er2 0.2291 0.5000 0.5141
Ni1 0.0500 0.0000 0.3880
Ni2 0.2273 0.5000 0.7222
```

***

For In4Te3Se, a structure optimized by DFT (GGA-PBE) gives the theoretical powder XRD pattern in this record (Cu Kα).

Main lines, in order of rising 2θ (2θ from 5° to 70°):
two_theta  d_spacing  I/Imax  index
28.76  3.104  50  2 -2 0
28.88  3.092  100  1 1 2
40.79  2.212  19  0 0 4
41.22  2.190  75  1 -3 2
50.67  1.802  20  2 -2 4
51.54  1.773  19  0 4 0

```
data_In4Te3Se
_cell_length_a 7.5631
_cell_length_b 7.5637
_cell_length_c 8.8494
_cell_angle_alpha 90.00
_cell_angle_beta 90.00
_cell_angle_gamma 110.31
_space_group_name_H-M_alt 'P -1'
_space_group_IT_number 2
loop_
_space_group_symop_operation_xyz
'x,y,z'
'-x,-y,-z'
loop_
_atom_site_label
_atom_site_fract_x
_atom_site_fract_y
_atom_site_fract_z
In1 0.2373 0.0028 0.3812
In2 0.2379 0.5032 0.6189
In3 0.2460 0.9921 0.8673
In4 0.2468 0.4928 0.1325
Te1 0.0002 0.2502 0.8727
Te2 0.4998 0.2497 0.1260
Te3 0.4998 0.2498 0.6227
Se1 0.0002 0.2503 0.3786
```

***

For DyCd12, a structure optimized by DFT (GGA-PBE) gives the theoretical powder XRD pattern in this record (Cu Kα).

Main lines, in order of rising 2θ (2θ from 5° to 70°):
two_theta  d_spacing  I/Imax  index
30.87  2.896  48  3 0 1
34.94  2.568  79  2 0 2
35.90  2.501  100  3 2 1
36.22  2.480  59  4 0 0
39.52  2.281  63  2 2 2
40.68  2.218  31  4 2 0

```
data_DyCd12
_cell_length_a 9.9198
_cell_length_b 9.9198
_cell_length_c 6.0036
_cell_angle_alpha 90.00
_cell_angle_beta 90.00
_cell_angle_gamma 90.00
_space_group_name_H-M_alt 'I 4/m m m'
_space_group_IT_number 139
_space_group_name_Hall '-I 4 2'
loop_
_atom_site_label
_atom_site_fract_x
_atom_site_fract_y
_atom_site_fract_z
Dy1 0.0000 0.0000 0.0000
Cd1 0.0000 0.2124 0.5000
Cd2 0.0000 0.3498 0.0000
Cd3 0.2500 0.2500 0.2500
```

***

For Dy2U2Se7, a structure optimized by DFT (GGA-PBE) gives the theoretical powder XRD pattern in this record (Cu Kα).

Main lines, in order of rising 2θ (2θ from 5° to 70°):
two_theta  d_spacing  I/Imax  index
23.21  3.832  54  0 2 2
24.23  3.674  31  1 0 1
34.35  2.611  100  1 4 1
35.07  2.559  34  0 3 3
39.50  2.281  55  1 2 3
45.01  2.014  37  2 0 0

```
data_Dy2U2Se7
_cell_length_a 4.0290
_cell_length_b 14.8435
_cell_length_c 8.9485
_cell_angle_alpha 90.00
_cell_angle_beta 90.00
_cell_angle_gamma 90.00
_space_group_name_H-M_alt 'I m m 2'
_space_group_IT_number 44
loop_
_space_group_symop_operation_xyz
'x,y,z'
'-x,-y,z'
'-x,y,z'
'x,-y,z'
'x+1/2,y+1/2,z+1/2'
'-x+1/2,-y+1/2,z+1/2'
'-x+1/2,y+1/2,z+1/2'
'x+1/2,-y+1/2,z+1/2'
loop_
_atom_site_label
_atom_site_fract_x
_atom_site_fract_y
_atom_site_fract_z
Dy1 0.0000 0.2409 0.0000
U1 0.0000 0.0000 0.2382
U2 0.0000 0.5000 0.1899
Se1 0.0000 0.0000 0.9200
Se2 0.0000 0.1083 0.5166
Se3 0.0000 0.3173 0.2997
Se4 0.0000 0.3659 0.6882
```

***

For SrCaSmBiO6, a structure optimized by DFT (GGA-PBE) gives the theoretical powder XRD pattern in this record (Cu Kα).

Main lines, in order of rising 2θ (2θ from 5° to 70°):
two_theta  d_spacing  I/Imax  index
20.94  4.242  52  1 -1 0
29.27  3.051  24  0 2 0
29.78  3.000  100  1 1 2
30.32  2.948  23  2 0 0
42.59  2.123  24  0 0 4
53.50  1.713  18  3 -1 2

```
data_SrCaSmBiO6
_cell_length_a 5.8954
_cell_length_b 6.1016
_cell_length_c 8.4934
_cell_angle_alpha 90.07
_cell_angle_beta 90.15
_cell_angle_gamma 90.12
_space_group_name_H-M_alt 'P -1'
_space_group_IT_number 2
loop_
_space_group_symop_operation_xyz
'x,y,z'
'-x,-y,-z'
loop_
_atom_site_label
_atom_site_fract_x
_atom_site_fract_y
_atom_site_fract_z
Sr1 0.0120 0.4478 0.2521
Ca1 0.4855 0.9524 0.2479
Sm1 0.0000 0.0000 0.5000
Sm2 0.5000 0.5000 0.0000
Bi1 0.0000 0.0000 0.0000
Bi2 0.5000 0.5000 0.5000
O1 0.1253 0.9608 0.7620
O2 0.1865 0.7112 0.0597
O3 0.2035 0.6882 0.4528
O4 0.2936 0.1885 0.0648
O5 0.3193 0.2055 0.4306
O6 0.3979 0.4334 0.7387
```

***

For LiCO, a structure optimized by DFT (GGA-PBE) gives the theoretical powder XRD pattern in this record (Cu Kα).

Main lines, in order of rising 2θ (2θ from 5° to 70°):
two_theta  d_spacing  I/Imax  index
20.54  4.323  71  0 0 1
23.62  3.767  100  0 1 1
36.35  2.471  31  0 1 -1
39.14  2.301  45  1 0 1
41.83  2.159  25  0 2 1
44.61  2.031  25  -1 1 1

```
data_LiCO
_cell_length_a 2.6599
_cell_length_b 4.3626
_cell_length_c 4.7397
_cell_angle_alpha 65.97
_cell_angle_beta 84.35
_cell_angle_gamma 82.53
_space_group_name_H-M_alt 'P 1'
_space_group_IT_number 1
loop_
_space_group_symop_operation_xyz
'x,y,z'
loop_
_atom_site_label
_atom_site_fract_x
_atom_site_fract_y
_atom_site_fract_z
Li1 0.0000 0.0000 0.0000
Li2 0.1308 0.6749 0.6958
C1 0.0555 0.3018 0.4815
C2 0.5620 0.4044 0.2970
O1 0.3904 0.0693 0.3360
O2 0.5776 0.6406 0.0044
```

***

For PrAl2SiPd, a structure optimized by DFT (GGA-PBE) gives the theoretical powder XRD pattern in this record (Cu Kα).

Main lines, in order of rising 2θ (2θ from 5° to 70°):
two_theta  d_spacing  I/Imax  index
22.57  3.939  31  0 1 1
23.27  3.823  26  1 0 1
32.35  2.768  23  0 1 3
32.85  2.726  29  1 0 3
34.67  2.587  100  1 1 2
42.87  2.110  19  0 2 0

```
data_PrAl2SiPd
_cell_length_a 4.0769
_cell_length_b 4.2194
_cell_length_c 10.9990
_cell_angle_alpha 90.00
_cell_angle_beta 90.00
_cell_angle_gamma 90.00
_space_group_name_H-M_alt 'I m m 2'
_space_group_IT_number 44
loop_
_space_group_symop_operation_xyz
'x,y,z'
'-x,-y,z'
'-x,y,z'
'x,-y,z'
'x+1/2,y+1/2,z+1/2'
'-x+1/2,-y+1/2,z+1/2'
'-x+1/2,y+1/2,z+1/2'
'x+1/2,-y+1/2,z+1/2'
loop_
_atom_site_label
_atom_site_fract_x
_atom_site_fract_y
_atom_site_fract_z
Pr1 0.0000 0.0000 0.0000
Al1 0.0000 0.0000 0.3826
Al2 0.0000 0.5000 0.2453
Si1 0.0000 0.0000 0.6090
Pd1 0.0000 0.5000 0.7415
```

***

For CsZrGaBr6, a structure optimized by DFT (GGA-PBE) gives the theoretical powder XRD pattern in this record (Cu Kα).

Main lines, in order of rising 2θ (2θ from 5° to 70°):
two_theta  d_spacing  I/Imax  index
11.44  7.737  29  0 0 2
17.62  5.034  95  1 0 2
25.97  3.431  91  2 -1 2
32.92  2.721  100  1 1 4
37.74  2.384  31  2 1 2
40.84  2.210  41  3 0 0

```
data_CsZrGaBr6
_cell_length_a 7.6547
_cell_length_b 7.6547
_cell_length_c 15.4740
_cell_angle_alpha 90.00
_cell_angle_beta 90.00
_cell_angle_gamma 120.00
_space_group_name_H-M_alt 'P -3 1 c'
_space_group_IT_number 163
_space_group_name_Hall '-P 3 2c'
loop_
_atom_site_label
_atom_site_fract_x
_atom_site_fract_y
_atom_site_fract_z
Cs1 0.0000 0.0000 0.0000
Zr1 0.3333 0.6667 0.2500
Ga1 0.3333 0.6667 0.7500
Br1 0.0420 0.3920 0.1506
```